Record 1
Starting from a DFT-relaxed cell (GGA-PBE, the Materials Project), the powder diffraction line list of SrCaI4 was computed for copper Kα.
Lines closer than 0.1° are merged.

Peak list (12 most intense, 2θ from 10° to 90°, by intensity)
Position (°2θ)  I/Imax
24.4  100.0
24.1  97.7
27.2  93.4
22.5  72.3
29.4  64.7
31.4  64.5
36.6  58.9
21.7  47.5
42.4  43.8
26.2  39.3
12.1  38.6
26.6  35.7

Atomic structure:
Cell lengths 8.251, 8.182, 17.036 Å; angles 90.00, 106.30, 90.00 degrees
Space group P2_1/c (No. 14)
One atom of each set of equivalent atoms:
Sr (0.220, 0.050, 0.159) x4
Ca (0.301, 0.147, 0.903) x4
I (0.017, 0.236, 0.980) x4
I (0.031, 0.128, 0.734) x4
I (0.460, 0.693, 0.181) x4
I (0.463, 0.697, 0.419) x4

Record 2
Starting from a DFT-relaxed cell (GGA-PBE, the Materials Project), the powder diffraction line list of CaThI6 was computed for copper Kα.
Lines closer than 0.1° are merged.

Peak list (12 most intense, 2θ from 10° to 90°, by intensity)
Position (°2θ)  I/Imax
26.2  100.0
34.1  45.5
40.4  35.7
18.1  31.2
44.5  24.2
13.2  24.2
48.8  17.8
66.9  15.7
65.1  14.8
53.8  12.2
61.7  11.5
69.4  11.4

Atomic structure:
Cell lengths 7.7367, 7.7367, 14.3508 Å; angles 90.00, 90.00, 120.00 degrees
Space group P-31c (No. 163)
One atom of each set of equivalent atoms:
Ca (0.3333, 0.6667, 0.2500) x2
Th (0.0000, 0.0000, 0.0000) x2
I (0.0008, 0.3278, 0.3773) x12